[1]
# SbO2
Computed powder diffraction line list, Cu Kα, 1.54184 Å. Input: a DFT-relaxed cell (PBE, Alexandria).

Largest 6 diffraction maxima, sorted by position, 15 to 90 degrees two-theta:
2θ (°)  d (Å)  I/Imax  index
26.38  3.379  1000  1 1 1
29.78  3.000  287  4 0 0
31.01  2.884  519  3 1 -1
33.21  2.698  215  2 0 -2
47.94  1.898  375  5 1 1
50.35  1.812  170  2 2 -2

Atomic structure:
Unit cell a=12.219 b=4.892 c=5.595 alpha=90.00 beta=100.88 gamma=90.00
Space group C2/c (No. 15)
Asymmetric unit:
Sb 0.000 0.212 0.250 x4
Sb 0.250 0.250 0.000 x4
O 0.095 0.083 0.961 x8
O 0.189 0.479 0.240 x8



[2]
# Pm4Al
Computed powder diffraction line list, Cu Kα, 1.54184 Å. Input: a DFT-relaxed cell (PBE, Alexandria).

Largest 6 diffraction maxima, sorted by position, 15 to 90 degrees two-theta:
2θ (°)  d (Å)  I/Imax  index
24.24  3.672  290  2 1 1
27.20  3.279  461  2 2 0
29.71  3.007  1000  2 0 2
31.07  2.879  513  3 0 1
35.42  2.534  247  1 0 3
36.75  2.446  307  3 2 1

Atomic structure:
Unit cell a=9.274 b=9.274 c=7.903 alpha=90.00 beta=90.00 gamma=90.00
Space group I4_1/amd (No. 141, origin choice 2)
Asymmetric unit:
Pm 0.000 0.062 0.215 x16
Al 0.000 0.250 0.875 x4



[3]
# Tb3Sm2Y6Ho
Computed powder diffraction line list, Cu Kα, 1.54184 Å. Input: a DFT-relaxed cell (PBE, Alexandria).

Largest 6 diffraction maxima, sorted by position, 15 to 90 degrees two-theta:
2θ (°)  d (Å)  I/Imax  index
30.65  2.917  1000  1 3 1
35.54  2.526  504  2 0 2
51.14  1.786  354  1 3 5
60.80  1.523  349  4 0 0
83.35  1.159  114  4 6 0
86.11  1.129  106  3 3 7

Atomic structure:
Unit cell a=6.193 b=10.718 c=11.832 alpha=90.00 beta=99.99 gamma=90.00
Space group C2/m (No. 12)
Asymmetric unit:
Tb 0.000 0.000 0.000 x2
Tb 0.000 0.333 0.000 x4
Sm 0.000 0.167 0.500 x4
Y 0.249 0.500 0.249 x4
Y 0.250 0.166 0.249 x8
Ho 0.000 0.500 0.500 x2